1.
The following is a theoretical powder X-ray diffraction pattern of NaSnHgSb. It was derived from a cell relaxed with PBE, using Cu Kα (λ = 1.5418 Å).
Neutral-atom scattering factors, no anomalous dispersion.

Structural model:
Cell lengths 4.3076, 4.3076, 9.4005 Å; angles 103.63, 103.63, 60.02 degrees
Fractional coordinates of all 4 atoms:
Na: 0.0000 0.0000 0.0000
Sn: 0.5322 0.5322 0.6032
Hg: 0.4208 0.4208 0.2615
Sb: 0.2553 0.2553 0.7678

Main lines, most intense first (2θ = 15–90°):
Position (°2θ)  I (rel.)
24.08  1000
41.94  463
33.40  394
19.63  342
24.75  257
35.70  208
33.20  205
48.94  153
43.92  140
66.38  126
27.32  113
41.21  109

---

2.
The following is a theoretical powder X-ray diffraction pattern of NdSm2HfP4. It was derived from a cell relaxed with PBE, using Cu Kα (λ = 1.5418 Å).
Neutral-atom scattering factors, no anomalous dispersion.

Structural model:
Cell lengths 6.9415, 4.0037, 6.9508 Å; angles 90.00, 109.18, 90.00 degrees
Fractional coordinates of all 8 atoms:
Nd: 0.0000 0.0000 0.0000
Sm: 0.5000 0.0000 0.5000
Sm: 0.5000 0.5000 0.0000
Hf: 0.0000 0.5000 0.5000
P: 0.2323 0.0000 0.7300
P: 0.2419 0.5000 0.2630
P: 0.7581 0.5000 0.7370
P: 0.7677 0.0000 0.2700

Main lines, most intense first (2θ = 15–90°):
Position (°2θ)  I (rel.)
31.55  1000
45.25  605
27.19  433
27.28  426
53.65  280
74.98  161
53.47  143
56.29  127
56.07  126
45.05  121
74.84  107
83.62  103

---

3.
The following is a theoretical powder X-ray diffraction pattern of Nd2Sn3Rh. It was derived from a cell relaxed with PBE, using Cu Kα (λ = 1.5418 Å).
Neutral-atom scattering factors, no anomalous dispersion.

Structural model:
Cell lengths 6.1054, 6.1054, 7.4794 Å; angles 126.22, 126.22, 45.80 degrees
Fractional coordinates of all 6 atoms:
Nd: 0.0000 0.0000 0.0000
Nd: 0.1172 0.1172 0.5988
Sn: 0.3753 0.3753 0.1817
Sn: 0.4470 0.4470 0.6681
Sn: 0.7303 0.7303 0.3925
Rh: 0.7433 0.7433 0.0399

Main lines, most intense first (2θ = 15–90°):
Position (°2θ)  I (rel.)
31.94  1000
37.87  910
36.52  660
30.68  627
32.43  390
60.86  256
32.16  240
54.64  224
33.02  217
30.18  206
68.70  202
31.18  170

---

4.
The following is a theoretical powder X-ray diffraction pattern of Th2CoHg3. It was derived from a cell relaxed with PBE, using Cu Kα (λ = 1.5418 Å).
Neutral-atom scattering factors, no anomalous dispersion.

Structural model:
Cell lengths 3.5688, 4.9554, 8.2665 Å; angles 90.00, 90.00, 90.00 degrees
Fractional coordinates of all 6 atoms:
Th: 0.0000 0.0000 0.0000
Th: 0.0000 0.5000 0.4253
Co: 0.5000 0.0000 0.2475
Hg: 0.5000 0.0000 0.5857
Hg: 0.5000 0.5000 0.1164
Hg: 0.5000 0.5000 0.7711

Main lines, most intense first (2θ = 15–90°):
Position (°2θ)  I (rel.)
32.77  1000
37.34  526
33.16  399
36.26  389
49.95  257
65.05  212
28.11  160
63.02  158
64.34  150
51.19  148
88.01  118
45.43  105

---

5.
The following is a theoretical powder X-ray diffraction pattern of TbPm3O6. It was derived from a cell relaxed with PBE, using Cu Kα (λ = 1.5418 Å).
Neutral-atom scattering factors, no anomalous dispersion.

Structural model:
Cell lengths 6.9295, 6.9295, 6.9295 Å; angles 91.70, 91.70, 91.70 degrees
Fractional coordinates of all 20 atoms:
Tb: 0.0000 0.0000 0.0000
Tb: 0.5000 0.5000 0.5000
Pm: 0.0560 0.7517 0.5631
Pm: 0.2483 0.4369 0.9440
Pm: 0.4369 0.9440 0.2483
Pm: 0.5631 0.0560 0.7517
Pm: 0.7517 0.5631 0.0560
Pm: 0.9440 0.2483 0.4369
O: 0.0312 0.6868 0.9007
O: 0.0993 0.9688 0.3132
O: 0.1882 0.4324 0.5929
O: 0.3132 0.0993 0.9688
O: 0.4071 0.8118 0.5676
O: 0.4324 0.5929 0.1882
O: 0.5676 0.4071 0.8118
O: 0.5929 0.1882 0.4324
O: 0.6868 0.9007 0.0312
O: 0.8118 0.5676 0.4071
O: 0.9007 0.0312 0.6868
O: 0.9688 0.3132 0.0993

Main lines, most intense first (2θ = 15–90°):
Position (°2θ)  I (rel.)
28.47  1000
31.49  883
29.19  457
25.74  437
48.44  400
22.92  365
41.63  342
50.50  267
31.16  222
40.84  215
49.36  198
32.48  190

---

6.
The following is a theoretical powder X-ray diffraction pattern of LiPO4. It was derived from a cell relaxed with PBE, using Cu Kα (λ = 1.5418 Å).
Neutral-atom scattering factors, no anomalous dispersion.

Structural model:
Cell lengths 7.3978, 7.3978, 7.3978 Å; angles 114.26, 114.26, 114.26 degrees
Fractional coordinates of all 18 atoms:
Li: 0.0490 0.1899 0.7610
Li: 0.1899 0.7610 0.0490
Li: 0.7610 0.0490 0.1899
P: 0.3662 0.4395 0.6275
P: 0.4395 0.6275 0.3662
P: 0.6275 0.3662 0.4395
O: 0.1038 0.2343 0.5434
O: 0.1513 0.9174 0.5967
O: 0.2343 0.5434 0.1038
O: 0.2711 0.4978 0.4338
O: 0.4338 0.2711 0.4978
O: 0.4978 0.4338 0.2711
O: 0.5434 0.1038 0.2343
O: 0.5967 0.1513 0.9174
O: 0.6179 0.7010 0.9237
O: 0.7010 0.9237 0.6179
O: 0.9174 0.5967 0.1513
O: 0.9237 0.6179 0.7010

Main lines, most intense first (2θ = 15–90°):
Position (°2θ)  I (rel.)
18.36  1000
28.74  609
34.31  365
23.32  318
24.82  234
38.33  181
34.19  178
27.44  172
47.77  170
50.05  134
65.24  93
58.75  88